Entry 1:
Structure and simulated powder X-ray diffraction pattern of TbZrCu6 (the PBE geometry in OQMD; copper Kα).
Lines closer than 0.1° are merged.

Top 8 peaks for 2θ from 10° to 80°, by intensity:
Position (°2θ), d (Å), I/Imax
41.6, 2.169, 100
43.1, 2.097, 43
40.3, 2.236, 38
36.2, 2.480, 25
74.2, 1.277, 17
55.3, 1.660, 14
31.5, 2.840, 14
67.4, 1.390, 12

Atomic structure:
a b c (Å): 4.4713 5.8156 4.7475
angles (deg): 90.00 90.00 90.00
Space group Pmm2 (No. 25)
Inequivalent atoms, fractional coordinates:
Tb: 0.0000 0.0000 0.0000 (multiplicity 1)
Zr: 0.5000 0.5000 0.6917 (multiplicity 1)
Cu: 0.0000 0.2729 0.5022 (multiplicity 2)
Cu: 0.0000 0.5000 0.0343 (multiplicity 1)
Cu: 0.5000 0.0000 0.6070 (multiplicity 1)
Cu: 0.5000 0.2718 0.1919 (multiplicity 2)

Entry 2:
Structure and simulated powder X-ray diffraction pattern of CuTcTe3 (the PBE geometry in OQMD; copper Kα).
Lines closer than 0.1° are merged.

Top 8 peaks for 2θ from 10° to 80°, by intensity:
Position (°2θ), d (Å), I/Imax
30.4, 2.942, 100
44.6, 2.030, 49
42.4, 2.134, 48
55.0, 1.671, 18
57.8, 1.595, 16
73.4, 1.290, 15
63.2, 1.471, 14
18.3, 4.858, 12

Atomic structure:
a b c (Å): 7.0312 7.0312 16.1143
angles (deg): 90.00 90.00 120.00
Space group R3c (No. 161, hexagonal axes)
Inequivalent atoms, fractional coordinates:
Cu: 0.0000 0.0000 0.0000 (multiplicity 6)
Tc: 0.0000 0.0000 0.1756 (multiplicity 6)
Te: 0.0027 0.3306 0.2601 (multiplicity 18)

Entry 3:
Structure and simulated powder X-ray diffraction pattern of Tl2CuTc (the PBE geometry in OQMD; copper Kα).
Lines closer than 0.1° are merged.

Top 8 peaks for 2θ from 10° to 80°, by intensity:
Position (°2θ), d (Å), I/Imax
37.0, 2.432, 100
66.6, 1.404, 36
22.4, 3.971, 19
53.3, 1.719, 18
78.7, 1.216, 11
43.6, 2.074, 11
58.5, 1.578, 5
71.2, 1.324, 4

Atomic structure:
a b c (Å): 6.8776 6.8776 6.8776
angles (deg): 90.00 90.00 90.00
Space group F-43m (No. 216)
Inequivalent atoms, fractional coordinates:
Tl: 0.0000 0.0000 0.0000 (multiplicity 4)
Tl: 0.2500 0.2500 0.2500 (multiplicity 4)
Cu: 0.2500 0.2500 0.7500 (multiplicity 4)
Tc: 0.0000 0.0000 0.5000 (multiplicity 4)

Entry 4:
Structure and simulated powder X-ray diffraction pattern of Cu14Te3 (the PBE geometry in OQMD; copper Kα).
Lines closer than 0.1° are merged.

Top 8 peaks for 2θ from 10° to 80°, by intensity:
Position (°2θ), d (Å), I/Imax
43.7, 2.072, 100
41.2, 2.191, 71
48.4, 1.880, 64
42.3, 2.138, 53
43.0, 2.101, 43
49.9, 1.826, 39
40.8, 2.210, 34
43.4, 2.086, 33

Atomic structure:
a b c (Å): 4.3855 6.8278 25.8636
angles (deg): 90.73 92.12 90.11
Space group P-1 (No. 2)
Inequivalent atoms, fractional coordinates:
Cu: 0.0512 0.4592 0.3087 (multiplicity 2)
Cu: 0.0601 0.3218 0.4015 (multiplicity 2)
Cu: 0.0800 0.1777 0.4926 (multiplicity 2)
Cu: 0.1032 0.0350 0.5850 (multiplicity 2)
Cu: 0.1164 0.8965 0.6767 (multiplicity 2)
Cu: 0.2036 0.8102 0.2862 (multiplicity 2)
Cu: 0.2244 0.6788 0.3843 (multiplicity 2)
Cu: 0.2450 0.5379 0.4773 (multiplicity 2)
Cu: 0.2658 0.3926 0.5689 (multiplicity 2)
Cu: 0.2818 0.2557 0.6612 (multiplicity 2)
Cu: 0.3872 0.0295 0.3676 (multiplicity 2)
Cu: 0.4081 0.8944 0.4609 (multiplicity 2)
Cu: 0.4328 0.7525 0.5532 (multiplicity 2)
Cu: 0.4471 0.6098 0.6438 (multiplicity 2)
Te: 0.0069 0.1015 0.8137 (multiplicity 2)
Te: 0.3319 0.3759 0.7586 (multiplicity 2)
Te: 0.3779 0.1816 0.2669 (multiplicity 2)

Entry 5:
Structure and simulated powder X-ray diffraction pattern of Cu11Te4 (the PBE geometry in OQMD; copper Kα).
Lines closer than 0.1° are merged.

Top 8 peaks for 2θ from 10° to 80°, by intensity:
Position (°2θ), d (Å), I/Imax
41.9, 2.155, 100
47.2, 1.927, 99
48.1, 1.892, 75
40.0, 2.252, 57
45.8, 1.983, 55
44.0, 2.060, 46
33.3, 2.688, 45
30.1, 2.973, 43

Atomic structure:
a b c (Å): 8.3133 2.8556 28.9730
angles (deg): 90.00 91.59 90.00
Space group C2/m (No. 12)
Inequivalent atoms, fractional coordinates:
Cu: 0.0000 0.0000 0.0000 (multiplicity 2)
Cu: 0.0597 0.5000 0.9305 (multiplicity 4)
Cu: 0.1026 0.5000 0.1760 (multiplicity 4)
Cu: 0.1179 0.0000 0.8614 (multiplicity 4)
Cu: 0.1593 0.0000 0.1042 (multiplicity 4)
Cu: 0.2205 0.5000 0.0349 (multiplicity 4)
Te: 0.1428 0.0000 0.3262 (multiplicity 4)
Te: 0.1704 0.5000 0.7731 (multiplicity 4)